[1]
K7Fe5S10: theoretical X-ray powder pattern (Cu Kα), based on a PBE-relaxed structure.

Structural model:
Lattice parameters (Å, degrees): 14.898 14.898 7.233 101.98 101.98 45.34
Fractional coordinates of all 44 atoms:
K1 0.105 0.895 0.750
K2 0.119 0.173 0.514
K3 0.173 0.119 0.014
K4 0.173 0.390 0.458
K5 0.328 0.523 0.565
K6 0.390 0.173 0.958
K7 0.477 0.672 0.935
K8 0.523 0.328 0.065
K9 0.610 0.827 0.042
K10 0.672 0.477 0.435
K11 0.827 0.610 0.542
K12 0.827 0.881 0.986
K13 0.881 0.827 0.486
K14 0.895 0.105 0.250
Fe1 0.075 0.527 0.991
Fe2 0.165 0.633 0.062
Fe3 0.236 0.764 0.250
Fe4 0.367 0.835 0.438
Fe5 0.473 0.925 0.509
Fe6 0.527 0.075 0.491
Fe7 0.633 0.165 0.562
Fe8 0.764 0.236 0.750
Fe9 0.835 0.367 0.938
Fe10 0.925 0.473 0.009
S1 0.064 0.631 0.786
S2 0.064 0.803 0.287
S3 0.090 0.370 0.832
S4 0.197 0.936 0.213
S5 0.254 0.452 0.173
S6 0.305 0.630 0.988
S7 0.369 0.936 0.714
S8 0.370 0.090 0.332
S9 0.370 0.695 0.512
S10 0.452 0.254 0.673
S11 0.548 0.746 0.327
S12 0.630 0.305 0.488
S13 0.630 0.910 0.668
S14 0.631 0.064 0.286
S15 0.695 0.370 0.012
S16 0.746 0.548 0.827
S17 0.803 0.064 0.787
S18 0.910 0.630 0.168
S19 0.936 0.197 0.713
S20 0.936 0.369 0.214

Top 6 peaks for 2θ from 15° to 90°, in order of rising 2θ:
| 2θ/deg | intensity |
| --- | --- |
| 15.43 | 100 |
| 26.34 | 89 |
| 27.32 | 84 |
| 30.30 | 92 |
| 31.05 | 63 |
| 42.67 | 64 |

[2]
KSmFeS3: theoretical X-ray powder pattern (Cu Kα), based on a PBE-relaxed structure.

Structural model:
Lattice parameters (Å, degrees): 7.353 7.353 10.675 90.00 90.00 148.18
Fractional coordinates of all 12 atoms:
K1 0.244 0.756 0.750
K2 0.756 0.244 0.250
Sm1 0.500 0.500 0.000
Sm2 0.500 0.500 0.500
Fe1 0.029 0.971 0.250
Fe2 0.971 0.029 0.750
S1 0.124 0.876 0.076
S2 0.124 0.876 0.424
S3 0.437 0.563 0.250
S4 0.563 0.437 0.750
S5 0.876 0.124 0.576
S6 0.876 0.124 0.924

Top 6 peaks for 2θ from 15° to 90°, in order of rising 2θ:
| 2θ/deg | intensity |
| --- | --- |
| 20.85 | 47 |
| 28.45 | 80 |
| 29.14 | 45 |
| 30.35 | 49 |
| 33.73 | 100 |
| 42.56 | 64 |

[3]
K7Fe4Te8: theoretical X-ray powder pattern (Cu Kα), based on a PBE-relaxed structure.

Structural model:
Lattice parameters (Å, degrees): 12.140 12.140 8.681 90.00 90.00 90.00
Fractional coordinates of all 38 atoms:
K1 0.008 0.508 0.250
K2 0.008 0.992 0.250
K3 0.250 0.250 0.214
K4 0.250 0.250 0.714
K5 0.250 0.750 0.250
K6 0.492 0.508 0.250
K7 0.492 0.992 0.250
K8 0.508 0.008 0.750
K9 0.508 0.492 0.750
K10 0.750 0.250 0.750
K11 0.750 0.750 0.286
K12 0.750 0.750 0.786
K13 0.992 0.008 0.750
K14 0.992 0.492 0.750
Fe1 0.145 0.750 0.855
Fe2 0.250 0.645 0.645
Fe3 0.250 0.855 0.645
Fe4 0.355 0.750 0.855
Fe5 0.645 0.250 0.145
Fe6 0.750 0.145 0.355
Fe7 0.750 0.355 0.355
Fe8 0.855 0.250 0.145
Te1 0.025 0.250 0.967
Te2 0.068 0.750 0.573
Te3 0.250 0.025 0.467
Te4 0.250 0.475 0.467
Te5 0.250 0.568 0.927
Te6 0.250 0.932 0.927
Te7 0.432 0.750 0.573
Te8 0.475 0.250 0.967
Te9 0.525 0.750 0.033
Te10 0.568 0.250 0.427
Te11 0.750 0.068 0.073
Te12 0.750 0.432 0.073
Te13 0.750 0.525 0.533
Te14 0.750 0.975 0.533
Te15 0.932 0.250 0.427
Te16 0.975 0.750 0.033

Top 6 peaks for 2θ from 15° to 90°, in order of rising 2θ:
| 2θ/deg | intensity |
| --- | --- |
| 20.69 | 27 |
| 25.37 | 45 |
| 26.29 | 22 |
| 29.26 | 100 |
| 29.43 | 54 |
| 44.77 | 43 |